[1]
# Sm4BI2Br3
Simulated X-ray powder pattern, λ = 1.5418 Å (Cu Kα). Input: a crystal structure in OQMD, relaxed with PBE.
Peak positions follow from Bragg's law for the DFT cell and can differ from measured ones.

Structural model:
Cell: 9.7343 9.7343 8.4329 Å, 102.01 102.01 24.03°
Fractional positions:
Sm 0.0006 0.0006 0.2899
Sm 0.3612 0.3612 0.4248
Sm 0.6388 0.6388 0.5752
Sm 0.9994 0.9994 0.7101
B 0.5000 0.5000 0.5000
I 0.1726 0.1726 0.3122
I 0.8274 0.8274 0.6878
Br 0.1585 0.1585 0.8337
Br 0.5000 0.5000 0.0000
Br 0.8415 0.8415 0.1663

Top 10 peaks for 2θ from 5° to 70°, in order of falling intensity:
2θ 30.6, intensity 1000
2θ 28.8, intensity 466
2θ 10.7, intensity 402
2θ 42.4, intensity 313
2θ 42.6, intensity 264
2θ 32.7, intensity 236
2θ 44.7, intensity 196
2θ 54.1, intensity 157
2θ 42.9, intensity 149
2θ 29.6, intensity 148

***

[2]
# LaNd3Br2N2
Simulated X-ray powder pattern, λ = 1.5418 Å (Cu Kα). Input: a crystal structure in OQMD, relaxed with PBE.
Peak positions follow from Bragg's law for the DFT cell and can differ from measured ones.

Structural model:
Cell: 3.7264 3.7264 14.7314 Å, 90.00 90.00 120.00°
Fractional positions:
La 0.0000 0.0000 0.0000
Nd 0.0000 0.0000 0.3201
Nd 0.6667 0.3333 0.4993
Nd 0.6667 0.3333 0.8171
Br 0.0000 0.0000 0.6580
Br 0.6667 0.3333 0.1649
N 0.3333 0.6667 0.4097
N 0.3333 0.6667 0.9044

Top 10 peaks for 2θ from 5° to 70°, in order of falling intensity:
2θ 33.2, intensity 1000
2θ 48.9, intensity 242
2θ 27.6, intensity 233
2θ 62.6, intensity 191
2θ 60.4, intensity 177
2θ 36.6, intensity 151
2θ 46.5, intensity 141
2θ 63.8, intensity 132
2θ 28.3, intensity 58
2θ 12.0, intensity 52